# 1
Diffraction record for NbP4O12. The powder diffractogram is simulated, not measured: it uses a crystal structure in the Materials Project, relaxed with GGA-PBE and copper Kα.

Structure:
a = 12.262 Å, b = 8.569 Å, c = 10.260 Å
α = 90.00°, β = 119.00°, γ = 90.00°
Space group C2/c (No. 15)
Inequivalent atoms, fractional coordinates:
Nb 0.250 0.250 0.000 x4
P 0.007 0.234 0.469 x8
P 0.184 0.004 0.695 x8
O 0.033 0.376 0.410 x8
O 0.066 0.102 0.161 x8
O 0.068 0.237 0.945 x8
O 0.135 0.140 0.573 x8
O 0.223 0.409 0.829 x8
O 0.230 0.072 0.848 x8

Peak list (6 most intense, 10 to 80 degrees two-theta, most intense first)
2θ/deg	I/Imax
28.81	100
18.78	70
13.91	69
24.22	57
19.79	30
30.03	29

# 2
Diffraction record for HfInNi2. The powder diffractogram is simulated, not measured: it uses a crystal structure in the Materials Project, relaxed with GGA-PBE and copper Kα.

Structure:
a = 3.226 Å, b = 3.226 Å, c = 6.210 Å
α = 90.00°, β = 90.00°, γ = 90.00°
Space group P4/mmm (No. 123)
Inequivalent atoms, fractional coordinates:
Hf 0.000 0.000 0.000 x1
In 0.000 0.000 0.500 x1
Ni 0.500 0.500 0.224 x2

Peak list (6 most intense, 10 to 80 degrees two-theta, most intense first)
2θ/deg	I/Imax
40.32	100
39.51	55
72.21	34
27.66	20
57.11	18
73.84	15

Copy entry 2 word for word.
Diffraction record for HfInNi2. The powder diffractogram is simulated, not measured: it uses a crystal structure in the Materials Project, relaxed with GGA-PBE and copper Kα.

Structure:
a = 3.226 Å, b = 3.226 Å, c = 6.210 Å
α = 90.00°, β = 90.00°, γ = 90.00°
Space group P4/mmm (No. 123)
Inequivalent atoms, fractional coordinates:
Hf 0.000 0.000 0.000 x1
In 0.000 0.000 0.500 x1
Ni 0.500 0.500 0.224 x2

Peak list (6 most intense, 10 to 80 degrees two-theta, most intense first)
2θ/deg	I/Imax
40.32	100
39.51	55
72.21	34
27.66	20
57.11	18
73.84	15